Structure and calculated powder diffraction line list of CaHgO3 (a structure optimized by DFT (PBE); Cu Ka).
Intensities are scaled so that the largest is 100.

Structure:
```
data_CaHgO3
_symmetry_space_group_name_H-M 'P m -3 m'
_symmetry_Int_Tables_number 221
_symmetry_space_group_name_Hall '-P 4 2 3'
_cell_length_a 4.1908
_cell_length_b 4.1908
_cell_length_c 4.1908
_cell_angle_alpha 90.00
_cell_angle_beta 90.00
_cell_angle_gamma 90.00
loop_
_atom_site_label
_atom_site_fract_x
_atom_site_fract_y
_atom_site_fract_z
Ca1 0.0000 0.0000 0.0000
Hg1 0.5000 0.5000 0.5000
O1 0.0000 0.5000 0.5000
```

Principal peaks in the range 10 to 90 degrees two-theta, sorted by position:
| index | 2theta | I_rel |
| --- | --- | --- |
| 1 0 0 | 21.20 | 70 |
| 1 1 0 | 30.16 | 100 |
| 2 0 0 | 43.17 | 31 |
| 2 1 0 | 48.58 | 33 |
| 2 1 1 | 53.56 | 41 |
| 2 2 0 | 62.71 | 19 |
| 3 1 0 | 71.14 | 18 |
| 3 2 1 | 86.99 | 22 |

Structure and calculated powder diffraction line list of CaHgPb (a structure optimized by DFT (PBE); Cu Ka).
Intensities are scaled so that the largest is 100.

Structure:
```
data_CaHgPb
_symmetry_space_group_name_H-M 'P 63/m m c'
_symmetry_Int_Tables_number 194
_symmetry_space_group_name_Hall '-P 6c 2c'
_cell_length_a 5.1518
_cell_length_b 5.1518
_cell_length_c 7.5587
_cell_angle_alpha 90.00
_cell_angle_beta 90.00
_cell_angle_gamma 120.00
loop_
_atom_site_label
_atom_site_fract_x
_atom_site_fract_y
_atom_site_fract_z
Ca1 0.0000 0.0000 0.0000
Hg1 0.3333 0.6667 0.2500
Pb1 0.3333 0.6667 0.7500
```

Principal peaks in the range 10 to 90 degrees two-theta, sorted by position:
| index | 2theta | I_rel |
| --- | --- | --- |
| 1 0 0 | 19.90 | 49 |
| 0 0 2 | 23.54 | 58 |
| 1 0 2 | 31.01 | 81 |
| 1 1 0 | 34.83 | 100 |
| 1 1 2 | 42.47 | 78 |
| 2 0 2 | 47.32 | 25 |
| 2 1 2 | 60.08 | 25 |
| 1 1 4 | 60.79 | 41 |

Structure and calculated powder diffraction line list of CaSmHg2 (a structure optimized by DFT (PBE); Cu Ka).
Intensities are scaled so that the largest is 100.

Structure:
```
data_CaSmHg2
_symmetry_space_group_name_H-M 'F m -3 m'
_symmetry_Int_Tables_number 225
_symmetry_space_group_name_Hall '-F 4 2 3'
_cell_length_a 7.5796
_cell_length_b 7.5796
_cell_length_c 7.5796
_cell_angle_alpha 90.00
_cell_angle_beta 90.00
_cell_angle_gamma 90.00
loop_
_atom_site_label
_atom_site_fract_x
_atom_site_fract_y
_atom_site_fract_z
Ca1 0.0000 0.0000 0.0000
Sm1 0.0000 0.0000 0.5000
Hg1 0.2500 0.2500 0.2500
```

Principal peaks in the range 10 to 90 degrees two-theta, sorted by position:
| index | 2theta | I_rel |
| --- | --- | --- |
| 1 1 1 | 20.29 | 7 |
| 2 0 0 | 23.47 | 14 |
| 2 2 0 | 33.44 | 100 |
| 4 0 0 | 48.01 | 18 |
| 4 2 0 | 54.11 | 7 |
| 4 2 2 | 59.77 | 38 |
| 4 4 0 | 70.25 | 12 |
| 6 2 0 | 80.07 | 17 |

Structure and calculated powder diffraction line list of CaSnHg (a structure optimized by DFT (PBE); Cu Ka).
Intensities are scaled so that the largest is 100.

Structure:
```
data_CaSnHg
_symmetry_space_group_name_H-M 'P 63/m m c'
_symmetry_Int_Tables_number 194
_symmetry_space_group_name_Hall '-P 6c 2c'
_cell_length_a 4.9276
_cell_length_b 4.9276
_cell_length_c 7.8940
_cell_angle_alpha 90.00
_cell_angle_beta 90.00
_cell_angle_gamma 120.00
loop_
_atom_site_label
_atom_site_fract_x
_atom_site_fract_y
_atom_site_fract_z
Ca1 0.0000 0.0000 0.0000
Sn1 0.3333 0.6667 0.2500
Hg1 0.3333 0.6667 0.7500
```

Principal peaks in the range 10 to 90 degrees two-theta, sorted by position:
| index | 2theta | I_rel |
| --- | --- | --- |
| 1 0 0 | 20.82 | 41 |
| 0 0 2 | 22.53 | 65 |
| 1 0 2 | 30.86 | 97 |
| 1 1 0 | 36.47 | 100 |
| 1 1 2 | 43.29 | 75 |
| 2 0 2 | 48.50 | 28 |
| 1 1 4 | 60.07 | 47 |
| 2 1 2 | 62.17 | 26 |

Structure and calculated powder diffraction line list of Ca2SnHg (a structure optimized by DFT (PBE); Cu Ka).
Intensities are scaled so that the largest is 100.

Structure:
```
data_Ca2SnHg
_symmetry_space_group_name_H-M 'F m -3 m'
_symmetry_Int_Tables_number 225
_symmetry_space_group_name_Hall '-F 4 2 3'
_cell_length_a 7.6978
_cell_length_b 7.6978
_cell_length_c 7.6978
_cell_angle_alpha 90.00
_cell_angle_beta 90.00
_cell_angle_gamma 90.00
loop_
_atom_site_label
_atom_site_fract_x
_atom_site_fract_y
_atom_site_fract_z
Ca1 0.2500 0.2500 0.2500
Sn1 0.0000 0.0000 0.0000
Hg1 0.0000 0.0000 0.5000
```

Principal peaks in the range 10 to 90 degrees two-theta, sorted by position:
| index | 2theta | I_rel |
| --- | --- | --- |
| 2 0 0 | 23.11 | 39 |
| 2 2 0 | 32.91 | 100 |
| 2 2 2 | 40.60 | 13 |
| 4 0 0 | 47.23 | 18 |
| 4 2 0 | 53.22 | 19 |
| 4 2 2 | 58.76 | 38 |
| 4 4 0 | 69.02 | 12 |
| 6 2 0 | 78.60 | 16 |

Structure and calculated powder diffraction line list of CaSnHg (a structure optimized by DFT (PBE); Cu Ka).
Intensities are scaled so that the largest is 100.

Structure:
```
data_CaSnHg
_symmetry_space_group_name_H-M 'P 63 m c'
_symmetry_Int_Tables_number 186
_symmetry_space_group_name_Hall 'P 6c -2c'
_cell_length_a 4.9042
_cell_length_b 4.9042
_cell_length_c 7.8216
_cell_angle_alpha 90.00
_cell_angle_beta 90.00
_cell_angle_gamma 120.00
loop_
_atom_site_label
_atom_site_fract_x
_atom_site_fract_y
_atom_site_fract_z
Ca1 0.0000 0.0000 0.0000
Sn1 0.3333 0.6667 0.2115
Hg1 0.3333 0.6667 0.8108
```

Principal peaks in the range 10 to 90 degrees two-theta, sorted by position:
| index | 2theta | I_rel |
| --- | --- | --- |
| 1 0 0 | 20.92 | 41 |
| 0 0 2 | 22.74 | 42 |
| 1 0 1 | 23.84 | 51 |
| 1 0 2 | 31.09 | 70 |
| 1 1 0 | 36.65 | 100 |
| 1 0 3 | 40.60 | 59 |
| 1 1 2 | 43.56 | 48 |
| 2 1 3 | 68.66 | 26 |

Structure and calculated powder diffraction line list of CaSnHg (a structure optimized by DFT (PBE); Cu Ka).
Intensities are scaled so that the largest is 100.

Structure:
```
data_CaSnHg
_symmetry_space_group_name_H-M 'P -6 m 2'
_symmetry_Int_Tables_number 187
_symmetry_space_group_name_Hall 'P -6 2'
_cell_length_a 4.9909
_cell_length_b 4.9909
_cell_length_c 3.8069
_cell_angle_alpha 90.00
_cell_angle_beta 90.00
_cell_angle_gamma 120.00
loop_
_atom_site_label
_atom_site_fract_x
_atom_site_fract_y
_atom_site_fract_z
Ca1 0.0000 0.0000 0.0000
Sn1 0.6667 0.3333 0.5000
Hg1 0.3333 0.6667 0.5000
```

Principal peaks in the range 10 to 90 degrees two-theta, sorted by position:
| index | 2theta | I_rel |
| --- | --- | --- |
| 1 0 0 | 20.55 | 54 |
| 0 0 1 | 23.37 | 57 |
| 1 0 1 | 31.31 | 100 |
| 1 1 0 | 35.99 | 100 |
| 1 1 1 | 43.36 | 72 |
| 2 0 1 | 48.43 | 30 |
| 1 1 2 | 61.25 | 43 |
| 2 1 1 | 61.80 | 29 |

Structure and calculated powder diffraction line list of SrCaHg2 (a structure optimized by DFT (PBE); Cu Ka).
Intensities are scaled so that the largest is 100.

Structure:
```
data_SrCaHg2
_symmetry_space_group_name_H-M 'F m -3 m'
_symmetry_Int_Tables_number 225
_symmetry_space_group_name_Hall '-F 4 2 3'
_cell_length_a 7.8449
_cell_length_b 7.8449
_cell_length_c 7.8449
_cell_angle_alpha 90.00
_cell_angle_beta 90.00
_cell_angle_gamma 90.00
loop_
_atom_site_label
_atom_site_fract_x
_atom_site_fract_y
_atom_site_fract_z
Sr1 0.0000 0.0000 0.0000
Ca1 0.0000 0.0000 0.5000
Hg1 0.2500 0.2500 0.2500
```

Principal peaks in the range 10 to 90 degrees two-theta, sorted by position:
| index | 2theta | I_rel |
| --- | --- | --- |
| 2 0 0 | 22.67 | 30 |
| 2 2 0 | 32.28 | 100 |
| 2 2 2 | 39.80 | 10 |
| 4 0 0 | 46.29 | 18 |
| 4 2 0 | 52.14 | 14 |
| 4 2 2 | 57.56 | 39 |
| 4 4 0 | 67.55 | 12 |
| 6 2 0 | 76.85 | 17 |

Structure and calculated powder diffraction line list of CaTbHg2 (a structure optimized by DFT (PBE); Cu Ka).
Intensities are scaled so that the largest is 100.

Structure:
```
data_CaTbHg2
_symmetry_space_group_name_H-M 'F m -3 m'
_symmetry_Int_Tables_number 225
_symmetry_space_group_name_Hall '-F 4 2 3'
_cell_length_a 7.5066
_cell_length_b 7.5066
_cell_length_c 7.5066
_cell_angle_alpha 90.00
_cell_angle_beta 90.00
_cell_angle_gamma 90.00
loop_
_atom_site_label
_atom_site_fract_x
_atom_site_fract_y
_atom_site_fract_z
Ca1 0.0000 0.0000 0.0000
Tb1 0.0000 0.0000 0.5000
Hg1 0.2500 0.2500 0.2500
```

Principal peaks in the range 10 to 90 degrees two-theta, sorted by position:
| index | 2theta | I_rel |
| --- | --- | --- |
| 1 1 1 | 20.49 | 8 |
| 2 0 0 | 23.71 | 13 |
| 2 2 0 | 33.77 | 100 |
| 4 0 0 | 48.51 | 18 |
| 4 2 0 | 54.68 | 6 |
| 4 2 2 | 60.41 | 38 |
| 4 4 0 | 71.04 | 12 |
| 6 2 0 | 81.01 | 17 |

Structure and calculated powder diffraction line list of CaHoO3 (a structure optimized by DFT (PBE); Cu Ka).
Intensities are scaled so that the largest is 100.

Structure:
```
data_CaHoO3
_symmetry_space_group_name_H-M 'P m -3 m'
_symmetry_Int_Tables_number 221
_symmetry_space_group_name_Hall '-P 4 2 3'
_cell_length_a 4.3113
_cell_length_b 4.3113
_cell_length_c 4.3113
_cell_angle_alpha 90.00
_cell_angle_beta 90.00
_cell_angle_gamma 90.00
loop_
_atom_site_label
_atom_site_fract_x
_atom_site_fract_y
_atom_site_fract_z
Ca1 0.0000 0.0000 0.0000
Ho1 0.5000 0.5000 0.5000
O1 0.0000 0.5000 0.5000
```

Principal peaks in the range 10 to 90 degrees two-theta, sorted by position:
| index | 2theta | I_rel |
| --- | --- | --- |
| 1 0 0 | 20.60 | 63 |
| 1 1 0 | 29.30 | 100 |
| 2 0 0 | 41.91 | 34 |
| 2 1 0 | 47.14 | 29 |
| 2 1 1 | 51.95 | 41 |
| 2 2 0 | 60.76 | 21 |
| 3 1 0 | 68.87 | 18 |
| 3 2 1 | 83.99 | 21 |

Structure and calculated powder diffraction line list of CaHoSn2O6 (a structure optimized by DFT (PBE); Cu Ka).
Intensities are scaled so that the largest is 100.

Structure:
```
data_CaHoSn2O6
_symmetry_space_group_name_H-M 'P m n 21'
_symmetry_Int_Tables_number 31
_cell_length_a 8.1720
_cell_length_b 5.8898
_cell_length_c 5.6033
_cell_angle_alpha 90.00
_cell_angle_beta 90.00
_cell_angle_gamma 90.00
loop_
_symmetry_equiv_pos_as_xyz
'x,y,z'
'-x+1/2,-y,z+1/2'
'-x,y,z'
'x+1/2,-y,z+1/2'
loop_
_atom_site_label
_atom_site_fract_x
_atom_site_fract_y
_atom_site_fract_z
Ca1 0.0000 0.2022 0.0000
Ho1 0.0000 0.6808 0.5363
Sn1 0.2501 0.2443 0.5115
O1 0.0000 0.3136 0.3934
O2 0.0000 0.8041 0.1534
O3 0.1812 0.4585 0.8047
O4 0.1841 0.9316 0.6875
```

Principal peaks in the range 10 to 90 degrees two-theta, sorted by position:
| index | 2theta | I_rel |
| --- | --- | --- |
| 1 0 1 | 19.21 | 16 |
| 0 2 0 | 30.35 | 21 |
| 2 1 1 | 31.05 | 100 |
| 0 0 2 | 31.94 | 22 |
| 4 0 0 | 44.34 | 13 |
| 0 2 2 | 44.64 | 19 |
| 2 3 1 | 54.37 | 13 |
| 2 1 3 | 56.37 | 23 |

Structure and calculated powder diffraction line list of Ca2HoTaO6 (a structure optimized by DFT (PBE); Cu Ka).
Intensities are scaled so that the largest is 100.

Structure:
```
data_Ca2HoTaO6
_symmetry_space_group_name_H-M 'P 1 21/c 1'
_symmetry_Int_Tables_number 14
_cell_length_a 5.6452
_cell_length_b 5.8115
_cell_length_c 9.8518
_cell_angle_alpha 90.00
_cell_angle_beta 124.56
_cell_angle_gamma 90.00
loop_
_symmetry_equiv_pos_as_xyz
'x,y,z'
'-x,-y,-z'
'-x,y+1/2,-z+1/2'
'x,-y+1/2,z+1/2'
loop_
_atom_site_label
_atom_site_fract_x
_atom_site_fract_y
_atom_site_fract_z
Ca1 0.2353 0.0512 0.2456
Ho1 0.5000 0.0000 0.0000
Ta1 0.0000 0.0000 0.5000
O1 0.1193 0.2071 0.9450
O2 0.2315 0.6824 0.9418
O3 0.3426 0.0397 0.7347
```

Principal peaks in the range 10 to 90 degrees two-theta, sorted by position:
| index | 2theta | I_rel |
| --- | --- | --- |
| 1 1 -1 | 21.94 | 100 |
| 0 2 0 | 30.77 | 28 |
| 1 1 1 | 31.13 | 56 |
| 1 1 -3 | 31.29 | 55 |
| 2 0 -2 | 31.70 | 26 |
| 0 0 4 | 44.73 | 41 |
| 1 1 3 | 50.24 | 17 |
| 3 1 -1 | 56.01 | 19 |

Structure and calculated powder diffraction line list of CaHo2Se4 (a structure optimized by DFT (PBE); Cu Ka).
Intensities are scaled so that the largest is 100.

Structure:
```
data_CaHo2Se4
_symmetry_space_group_name_H-M 'P 1 2/m 1'
_symmetry_Int_Tables_number 10
_cell_length_a 7.0231
_cell_length_b 4.1375
_cell_length_c 7.2450
_cell_angle_alpha 90.00
_cell_angle_beta 107.95
_cell_angle_gamma 90.00
loop_
_symmetry_equiv_pos_as_xyz
'x,y,z'
'-x,-y,-z'
'-x,y,-z'
'x,-y,z'
loop_
_atom_site_label
_atom_site_fract_x
_atom_site_fract_y
_atom_site_fract_z
Ca1 0.0000 0.0000 0.0000
Ho1 0.0000 0.5000 0.5000
Ho2 0.5000 0.0000 0.5000
Se1 0.2414 0.0000 0.7305
Se2 0.2584 0.5000 0.2601
```

Principal peaks in the range 10 to 90 degrees two-theta, sorted by position:
| index | 2theta | I_rel |
| --- | --- | --- |
| 0 0 1 | 12.84 | 77 |
| 1 1 0 | 25.32 | 24 |
| 1 1 1 | 30.34 | 100 |
| 2 0 -2 | 31.01 | 47 |
| 2 0 2 | 43.13 | 18 |
| 1 1 -3 | 43.41 | 36 |
| 3 1 -1 | 44.47 | 35 |
| 2 2 -2 | 54.60 | 19 |

Structure and calculated powder diffraction line list of CaInI3 (a structure optimized by DFT (PBE); Cu Ka).
Intensities are scaled so that the largest is 100.

Structure:
```
data_CaInI3
_symmetry_space_group_name_H-M 'C m c m'
_symmetry_Int_Tables_number 63
_symmetry_space_group_name_Hall '-C 2c 2'
_cell_length_a 4.6186
_cell_length_b 15.1339
_cell_length_c 11.7255
_cell_angle_alpha 90.00
_cell_angle_beta 90.00
_cell_angle_gamma 90.00
loop_
_atom_site_label
_atom_site_fract_x
_atom_site_fract_y
_atom_site_fract_z
Ca1 0.0000 0.0000 0.0000
In1 0.0000 0.2483 0.2500
I1 0.0000 0.0800 0.7500
I2 0.0000 0.3628 0.5554
```

Principal peaks in the range 10 to 90 degrees two-theta, sorted by position:
| index | 2theta | I_rel |
| --- | --- | --- |
| 1 1 2 | 25.24 | 55 |
| 0 2 3 | 25.65 | 71 |
| 1 3 0 | 26.16 | 46 |
| 1 3 1 | 27.26 | 100 |
| 1 3 2 | 30.35 | 38 |
| 0 0 4 | 30.52 | 69 |
| 2 0 0 | 39.00 | 33 |
| 1 3 5 | 47.04 | 38 |

Structure and calculated powder diffraction line list of KCaI3 (a structure optimized by DFT (PBE); Cu Ka).
Intensities are scaled so that the largest is 100.

Structure:
```
data_KCaI3
_symmetry_space_group_name_H-M 'C m c m'
_symmetry_Int_Tables_number 63
_symmetry_space_group_name_Hall '-C 2c 2'
_cell_length_a 4.6370
_cell_length_b 15.4637
_cell_length_c 11.7501
_cell_angle_alpha 90.00
_cell_angle_beta 90.00
_cell_angle_gamma 90.00
loop_
_atom_site_label
_atom_site_fract_x
_atom_site_fract_y
_atom_site_fract_z
K1 0.0000 0.2475 0.2500
Ca1 0.0000 0.0000 0.0000
I1 0.0000 0.0750 0.7500
I2 0.0000 0.3661 0.5559
```

Principal peaks in the range 10 to 90 degrees two-theta, sorted by position:
| index | 2theta | I_rel |
| --- | --- | --- |
| 1 1 2 | 25.13 | 80 |
| 0 2 3 | 25.49 | 100 |
| 1 3 0 | 25.84 | 68 |
| 1 3 1 | 26.95 | 80 |
| 1 3 2 | 30.06 | 43 |
| 0 0 4 | 30.43 | 47 |
| 0 6 2 | 38.16 | 57 |
| 2 2 3 | 47.04 | 41 |